No. 1
This entry pairs a crystal structure of La3Zn2AgPd9 with its computed X-ray diffraction stick pattern. Radiation: Cu Kα, 1.54184 Å. Structure: a GGA-PBE-relaxed structure.
Neutral-atom scattering factors, no anomalous dispersion.

The 12 most intense peaks (10° ≤ 2θ ≤ 80°), by angle:
2θ = 19.32°, intensity 72, hkl 1 0 1; 2θ = 23.12°, intensity 180, hkl 1 1 0; 2θ = 30.30°, intensity 965, hkl 0 2 1; 2θ = 31.24°, intensity 79, hkl 0 1 2; 2θ = 39.22°, intensity 1000, hkl 2 0 2; 2θ = 42.78°, intensity 126, hkl 0 0 3; 2θ = 47.25°, intensity 576, hkl 2 2 0; 2θ = 57.17°, intensity 151, hkl 4 0 1; 2θ = 63.03°, intensity 234, hkl 0 4 2; 2θ = 65.17°, intensity 214, hkl 0 2 4; 2θ = 65.62°, intensity 202, hkl 2 2 3; 2θ = 77.24°, intensity 119, hkl 2 4 1

Structural model:
Cell lengths 7.6945, 7.6945, 6.3413 Å; angles 90.00, 90.00, 120.00 degrees
Space group P-3m1 (No. 164)
Symmetry-distinct sites (fractional):
La  0.0000  0.0000  0.0000 [1 per cell]
La  0.3333  0.6667  0.6552 [2 per cell]
Zn  0.3333  0.6667  0.1474 [2 per cell]
Ag  0.0000  0.0000  0.5000 [1 per cell]
Pd  0.0000  0.5000  0.0000 [3 per cell]
Pd  0.1754  0.3509  0.3323 [6 per cell]

No. 2
This entry pairs a crystal structure of LaPm2Zn2Ag2 with its computed X-ray diffraction stick pattern. Radiation: Cu Kα, 1.54184 Å. Structure: a GGA-PBE-relaxed structure.
Neutral-atom scattering factors, no anomalous dispersion.

The 12 most intense peaks (10° ≤ 2θ ≤ 80°), by angle:
2θ = 22.02°, intensity 148, hkl 1 0 1; 2θ = 25.35°, intensity 164, hkl 1 0 4; 2θ = 31.54°, intensity 656, hkl 1 0 7; 2θ = 34.01°, intensity 770, hkl 0 1 8; 2θ = 38.21°, intensity 1000, hkl 1 1 0; 2θ = 49.48°, intensity 110, hkl 0 0 15; 2θ = 50.35°, intensity 174, hkl 0 2 7; 2θ = 52.07°, intensity 227, hkl 2 0 8; 2θ = 64.19°, intensity 296, hkl 1 1 15; 2θ = 64.92°, intensity 160, hkl 2 1 7; 2θ = 66.39°, intensity 215, hkl 1 2 8; 2θ = 69.06°, intensity 168, hkl 3 0 0

Structural model:
Cell lengths 4.7114, 4.7114, 27.6291 Å; angles 90.00, 90.00, 120.00 degrees
Space group R-3m (No. 166, hexagonal axes)
Symmetry-distinct sites (fractional):
La  0.0000  0.0000  0.0000 [3 per cell]
Pm  0.0000  0.0000  0.1257 [6 per cell]
Zn  0.0000  0.0000  0.2580 [6 per cell]
Ag  0.0000  0.0000  0.4031 [6 per cell]

No. 3
This entry pairs a crystal structure of La6Pr3Ag with its computed X-ray diffraction stick pattern. Radiation: Cu Kα, 1.54184 Å. Structure: a GGA-PBE-relaxed structure.
Neutral-atom scattering factors, no anomalous dispersion.

The 12 most intense peaks (10° ≤ 2θ ≤ 80°), by angle:
2θ = 27.92°, intensity 150, hkl 0 1 3; 2θ = 30.04°, intensity 768, hkl 1 1 3; 2θ = 30.07°, intensity 1000, hkl 3 1 -1; 2θ = 31.04°, intensity 90, hkl 3 0 2; 2θ = 32.64°, intensity 426, hkl 0 2 0; 2θ = 32.71°, intensity 321, hkl 2 0 -4; 2θ = 38.86°, intensity 158, hkl 4 0 2; 2θ = 46.88°, intensity 234, hkl 2 2 -4; 2θ = 51.66°, intensity 258, hkl 6 0 -2; 2θ = 56.66°, intensity 290, hkl 3 3 -1; 2θ = 56.76°, intensity 179, hkl 5 1 -5; 2θ = 62.49°, intensity 137, hkl 6 2 -2

Structural model:
Cell lengths 10.759, 5.487, 11.897 Å; angles 90.00, 97.58, 90.00 degrees
Space group P2_1/m (No. 11)
Symmetry-distinct sites (fractional):
La  0.036  0.250  0.354 [2 per cell]
La  0.126  0.750  0.172 [2 per cell]
La  0.138  0.250  0.651 [2 per cell]
La  0.216  0.250  0.980 [2 per cell]
La  0.331  0.750  0.786 [2 per cell]
La  0.448  0.250  0.597 [2 per cell]
Pr  0.239  0.750  0.474 [2 per cell]
Pr  0.348  0.250  0.287 [2 per cell]
Pr  0.451  0.750  0.093 [2 per cell]
Ag  0.066  0.750  0.900 [2 per cell]

No. 4
This entry pairs a crystal structure of La2Pr3Ag2 with its computed X-ray diffraction stick pattern. Radiation: Cu Kα, 1.54184 Å. Structure: a GGA-PBE-relaxed structure.
Neutral-atom scattering factors, no anomalous dispersion.

The 12 most intense peaks (10° ≤ 2θ ≤ 80°), by angle:
2θ = 29.43°, intensity 448, hkl 0 6 1; 2θ = 31.13°, intensity 1000, hkl 1 7 0; 2θ = 33.19°, intensity 387, hkl 0 8 1; 2θ = 33.98°, intensity 763, hkl 1 1 1; 2θ = 34.97°, intensity 134, hkl 1 3 1; 2θ = 37.53°, intensity 166, hkl 0 10 1; 2θ = 40.42°, intensity 164, hkl 0 14 0; 2θ = 48.50°, intensity 163, hkl 2 0 0; 2θ = 48.77°, intensity 160, hkl 0 0 2; 2θ = 57.75°, intensity 131, hkl 2 6 1; 2θ = 59.00°, intensity 316, hkl 1 7 2; 2θ = 60.03°, intensity 138, hkl 2 8 1

Structural model:
Cell lengths 3.754, 31.246, 3.734 Å; angles 90.00, 90.00, 90.00 degrees
Space group Cmmm (No. 65)
Symmetry-distinct sites (fractional):
La  0.000  0.206  0.000 [4 per cell]
Pr  0.000  0.084  0.000 [4 per cell]
Pr  0.000  0.500  0.500 [2 per cell]
Ag  0.000  0.358  0.500 [4 per cell]

No. 5
This entry pairs a crystal structure of LaPr2Ag with its computed X-ray diffraction stick pattern. Radiation: Cu Kα, 1.54184 Å. Structure: a GGA-PBE-relaxed structure.
Neutral-atom scattering factors, no anomalous dispersion.

The 12 most intense peaks (10° ≤ 2θ ≤ 80°), by angle:
2θ = 28.04°, intensity 320, hkl 0 3 1; 2θ = 29.37°, intensity 221, hkl 2 1 1; 2θ = 29.53°, intensity 224, hkl 1 0 2; 2θ = 29.77°, intensity 761, hkl 2 2 0; 2θ = 30.69°, intensity 1000, hkl 1 1 2; 2θ = 32.73°, intensity 450, hkl 2 2 1; 2θ = 32.97°, intensity 356, hkl 0 4 0; 2θ = 33.92°, intensity 590, hkl 1 2 2; 2θ = 35.15°, intensity 191, hkl 2 3 0; 2θ = 51.80°, intensity 245, hkl 1 5 2; 2θ = 52.69°, intensity 204, hkl 4 0 1; 2θ = 53.41°, intensity 203, hkl 3 3 2

Structural model:
Cell lengths 7.200, 10.866, 6.666 Å; angles 90.00, 90.00, 90.00 degrees
Space group Pnma (No. 62)
Symmetry-distinct sites (fractional):
La  0.014  0.250  0.133 [4 per cell]
Pr  0.193  0.042  0.661 [8 per cell]
Ag  0.104  0.750  0.404 [4 per cell]

No. 6
This entry pairs a crystal structure of LaPr2Ag4 with its computed X-ray diffraction stick pattern. Radiation: Cu Kα, 1.54184 Å. Structure: a GGA-PBE-relaxed structure.
Neutral-atom scattering factors, no anomalous dispersion.

The 12 most intense peaks (10° ≤ 2θ ≤ 80°), by angle:
2θ = 16.36°, intensity 90, hkl 1 1 0; 2θ = 17.15°, intensity 142, hkl 1 0 1; 2θ = 29.01°, intensity 79, hkl 2 1 1; 2θ = 33.07°, intensity 570, hkl 2 2 0; 2θ = 34.70°, intensity 1000, hkl 2 0 2; 2θ = 47.47°, intensity 203, hkl 4 0 0; 2θ = 52.21°, intensity 76, hkl 0 0 4; 2θ = 60.12°, intensity 392, hkl 4 2 2; 2θ = 63.21°, intensity 168, hkl 2 2 4; 2θ = 73.22°, intensity 108, hkl 4 0 4; 2θ = 79.05°, intensity 88, hkl 6 2 0; 2θ = 79.97°, intensity 85, hkl 6 0 2

Structural model:
Cell lengths 7.661, 7.661, 7.008 Å; angles 90.00, 90.00, 90.00 degrees
Space group I4/mmm (No. 139)
Symmetry-distinct sites (fractional):
La  0.000  0.000  0.000 [2 per cell]
Pr  0.000  0.500  0.000 [4 per cell]
Ag  0.250  0.250  0.250 [8 per cell]

No. 7
This entry pairs a crystal structure of La2Pr3Ag3 with its computed X-ray diffraction stick pattern. Radiation: Cu Kα, 1.54184 Å. Structure: a GGA-PBE-relaxed structure.
Neutral-atom scattering factors, no anomalous dispersion.

The 12 most intense peaks (10° ≤ 2θ ≤ 80°), by angle:
2θ = 31.74°, intensity 212, hkl 0 0 8; 2θ = 32.49°, intensity 276, hkl 0 2 0; 2θ = 32.69°, intensity 1000, hkl 1 1 4; 2θ = 46.05°, intensity 149, hkl 0 2 8; 2θ = 47.75°, intensity 93, hkl 2 0 0; 2θ = 57.14°, intensity 101, hkl 1 1 12; 2θ = 58.09°, intensity 188, hkl 1 3 4; 2θ = 58.48°, intensity 78, hkl 2 0 8; 2θ = 58.94°, intensity 97, hkl 2 2 0; 2θ = 65.10°, intensity 47, hkl 1 1 14; 2θ = 68.51°, intensity 97, hkl 2 2 8; 2θ = 79.26°, intensity 75, hkl 3 1 4

Structural model:
Cell lengths 3.809, 5.512, 22.555 Å; angles 90.00, 90.00, 90.00 degrees
Space group Immm (No. 71)
Symmetry-distinct sites (fractional):
La  0.000  0.000  0.231 [4 per cell]
Pr  0.000  0.000  0.000 [2 per cell]
Pr  0.000  0.500  0.119 [4 per cell]
Ag  0.000  0.000  0.500 [2 per cell]
Ag  0.000  0.500  0.385 [4 per cell]

No. 8
This entry pairs a crystal structure of LaPrAg4 with its computed X-ray diffraction stick pattern. Radiation: Cu Kα, 1.54184 Å. Structure: a GGA-PBE-relaxed structure.
Neutral-atom scattering factors, no anomalous dispersion.

The 12 most intense peaks (10° ≤ 2θ ≤ 80°), by angle:
2θ = 30.86°, intensity 217, hkl 1 1 2; 2θ = 32.67°, intensity 1000, hkl 1 2 1; 2θ = 32.86°, intensity 448, hkl 0 2 2; 2θ = 36.82°, intensity 427, hkl 2 0 0; 2θ = 37.33°, intensity 711, hkl 1 0 3; 2θ = 38.95°, intensity 135, hkl 0 3 1; 2θ = 50.17°, intensity 284, hkl 2 2 2; 2θ = 50.71°, intensity 99, hkl 0 2 4; 2θ = 62.00°, intensity 141, hkl 1 3 4; 2θ = 63.71°, intensity 140, hkl 3 2 1; 2θ = 64.49°, intensity 139, hkl 1 4 3; 2θ = 66.66°, intensity 122, hkl 3 0 3

Structural model:
Cell lengths 4.882, 7.223, 8.308 Å; angles 90.00, 90.00, 90.00 degrees
Space group Imm2 (No. 44)
Symmetry-distinct sites (fractional):
La  0.000  0.000  0.000 [2 per cell]
Pr  0.000  0.500  0.065 [2 per cell]
Ag  0.000  0.210  0.367 [4 per cell]
Ag  0.000  0.287  0.699 [4 per cell]

No. 9
This entry pairs a crystal structure of LaPr2AgRu with its computed X-ray diffraction stick pattern. Radiation: Cu Kα, 1.54184 Å. Structure: a GGA-PBE-relaxed structure.
Neutral-atom scattering factors, no anomalous dispersion.

The 12 most intense peaks (10° ≤ 2θ ≤ 80°), by angle:
2θ = 16.08°, intensity 351, hkl 0 0 1; 2θ = 22.82°, intensity 141, hkl 1 0 1; 2θ = 28.03°, intensity 873, hkl 1 1 1; 2θ = 32.48°, intensity 1000, hkl 2 0 0; 2θ = 36.45°, intensity 279, hkl 1 0 2; 2θ = 40.07°, intensity 176, hkl 1 1 2; 2θ = 46.60°, intensity 631, hkl 2 2 0; 2θ = 49.62°, intensity 189, hkl 0 0 3; 2θ = 55.26°, intensity 321, hkl 3 1 1; 2θ = 57.95°, intensity 186, hkl 2 2 2; 2θ = 63.11°, intensity 120, hkl 3 1 2; 2θ = 77.39°, intensity 198, hkl 4 2 0

Structural model:
Cell lengths 5.515, 5.515, 5.508 Å; angles 90.00, 90.00, 90.00 degrees
Space group P4mm (No. 99)
Symmetry-distinct sites (fractional):
La  0.000  0.000  0.000 [1 per cell]
Pr  0.000  0.500  0.478 [2 per cell]
Ag  0.500  0.500  0.119 [1 per cell]
Ru  0.000  0.000  0.540 [1 per cell]

No. 10
This entry pairs a crystal structure of LaPrAgSn with its computed X-ray diffraction stick pattern. Radiation: Cu Kα, 1.54184 Å. Structure: a GGA-PBE-relaxed structure.
Neutral-atom scattering factors, no anomalous dispersion.

The 6 most intense peaks (10° ≤ 2θ ≤ 80°), by angle:
2θ = 22.96°, intensity 9, hkl 2 0 0; 2θ = 32.69°, intensity 1000, hkl 2 2 0; 2θ = 46.91°, intensity 182, hkl 4 0 0; 2θ = 58.35°, intensity 378, hkl 4 2 2; 2θ = 68.52°, intensity 117, hkl 4 4 0; 2θ = 78.01°, intensity 163, hkl 6 2 0

Structural model:
Cell lengths 7.747, 7.747, 7.747 Å; angles 90.00, 90.00, 90.00 degrees
Space group F-43m (No. 216)
Symmetry-distinct sites (fractional):
La  0.000  0.000  0.000 [4 per cell]
Pr  0.000  0.000  0.500 [4 per cell]
Ag  0.250  0.250  0.750 [4 per cell]
Sn  0.250  0.250  0.250 [4 per cell]

No. 11
This entry pairs a crystal structure of LaPrZnAg with its computed X-ray diffraction stick pattern. Radiation: Cu Kα, 1.54184 Å. Structure: a GGA-PBE-relaxed structure.
Neutral-atom scattering factors, no anomalous dispersion.

The 12 most intense peaks (10° ≤ 2θ ≤ 80°), by angle:
2θ = 23.34°, intensity 53, hkl 1 0 0; 2θ = 26.32°, intensity 28, hkl 1 0 1; 2θ = 33.24°, intensity 529, hkl 1 1 0; 2θ = 33.83°, intensity 1000, hkl 1 0 2; 2θ = 47.72°, intensity 189, hkl 2 0 0; 2θ = 49.47°, intensity 83, hkl 0 0 4; 2θ = 59.77°, intensity 376, hkl 2 1 2; 2θ = 60.90°, intensity 173, hkl 1 1 4; 2θ = 69.78°, intensity 59, hkl 2 2 0; 2θ = 71.17°, intensity 108, hkl 2 0 4; 2θ = 79.51°, intensity 82, hkl 3 1 0; 2θ = 79.85°, intensity 80, hkl 3 0 2

Structural model:
Cell lengths 3.812, 3.812, 7.370 Å; angles 90.00, 90.00, 90.00 degrees
Space group P4mm (No. 99)
Symmetry-distinct sites (fractional):
La  0.000  0.000  0.000 [1 per cell]
Pr  0.000  0.000  0.517 [1 per cell]
Zn  0.500  0.500  0.753 [1 per cell]
Ag  0.500  0.500  0.264 [1 per cell]

No. 12
This entry pairs a crystal structure of La6AgPt3 with its computed X-ray diffraction stick pattern. Radiation: Cu Kα, 1.54184 Å. Structure: a GGA-PBE-relaxed structure.
Neutral-atom scattering factors, no anomalous dispersion.

The 12 most intense peaks (10° ≤ 2θ ≤ 80°), by angle:
2θ = 13.96°, intensity 355, hkl 1 0 -2; 2θ = 24.23°, intensity 452, hkl 1 1 1; 2θ = 28.28°, intensity 317, hkl 1 1 2; 2θ = 29.13°, intensity 653, hkl 4 0 -2; 2θ = 30.59°, intensity 1000, hkl 0 1 3; 2θ = 34.20°, intensity 332, hkl 3 1 1; 2θ = 36.61°, intensity 348, hkl 0 1 4; 2θ = 37.07°, intensity 287, hkl 3 1 -4; 2θ = 40.74°, intensity 375, hkl 4 1 1; 2θ = 42.07°, intensity 559, hkl 0 2 0; 2θ = 44.71°, intensity 332, hkl 4 1 -5; 2θ = 51.99°, intensity 332, hkl 4 2 -2

Structural model:
Cell lengths 12.351, 4.295, 12.862 Å; angles 90.00, 111.56, 90.00 degrees
Space group P2_1/m (No. 11)
Symmetry-distinct sites (fractional):
La  0.051  0.250  0.390 [2 per cell]
La  0.090  0.750  0.941 [2 per cell]
La  0.242  0.250  0.781 [2 per cell]
La  0.252  0.750  0.258 [2 per cell]
La  0.406  0.250  0.565 [2 per cell]
La  0.445  0.250  0.108 [2 per cell]
Ag  0.207  0.750  0.573 [2 per cell]
Pt  0.002  0.250  0.780 [2 per cell]
Pt  0.334  0.750  0.949 [2 per cell]
Pt  0.422  0.250  0.339 [2 per cell]